This entry pairs a crystal structure of Rb3LiTbV2O8 with its calculated XRD peak list. Radiation: Cu Kα, 1.54184 Å. Structure: a crystal structure in Alexandria, relaxed with PBE+U.
Kinematic intensities with the Lorentz-polarization factor, no thermal factor.

Largest 12 diffraction maxima, sorted by position, 2θ from 15° to 90°:
hkl 0 1 2, 2θ = 26.83°, rel. 573
hkl 1 0 2, 2θ = 27.82°, rel. 756
hkl 1 0 -2, 2θ = 28.45°, rel. 231
hkl 1 -1 0, 2θ = 28.70°, rel. 819
hkl 1 2 0, 2θ = 29.05°, rel. 676
hkl 2 1 0, 2θ = 29.26°, rel. 1000
hkl 1 1 -2, 2θ = 29.73°, rel. 606
hkl 1 2 1, 2θ = 29.97°, rel. 254
hkl -1 1 1, 2θ = 30.54°, rel. 249
hkl 2 2 2, 2θ = 38.93°, rel. 331
hkl 2 0 -2, 2θ = 41.27°, rel. 342
hkl 0 2 -2, 2θ = 42.32°, rel. 311

Structure:
```
data_Rb3LiTbV2O8
_space_group_name_H-M_alt 'P 1'
_space_group_IT_number 1
_cell_length_a 6.122
_cell_length_b 6.190
_cell_length_c 7.938
_cell_angle_alpha 83.47
_cell_angle_beta 85.68
_cell_angle_gamma 60.74
loop_
_space_group_symop_operation_xyz
'x,y,z'
loop_
_atom_site_label
_atom_site_fract_x
_atom_site_fract_y
_atom_site_fract_z
Rb1 0.000 0.000 0.000
Rb2 0.309 0.289 0.363
Rb3 0.681 0.520 0.646
Li1 0.635 0.985 0.773
Tb1 0.639 0.651 0.164
V1 0.302 0.352 0.927
V2 0.969 0.945 0.429
O1 0.287 0.801 0.364
O2 0.357 0.301 0.710
O3 0.450 0.512 0.013
O4 0.496 0.015 0.009
O5 0.824 0.256 0.341
O6 0.825 0.791 0.353
O7 0.928 0.946 0.647
O8 0.975 0.496 0.999
```